Starting from a structure optimized by DFT (PBE+U), the X-ray powder pattern of LiMnP2O8 was calculated for CuKα.

Top 6 peaks for 2θ from 5° to 70°, in order of rising 2θ:
| two_theta | d (Å) | intensity |
| --- | --- | --- |
| 15.26 | 5.808 | 77 |
| 15.68 | 5.653 | 100 |
| 22.29 | 3.989 | 38 |
| 29.10 | 3.069 | 70 |
| 30.82 | 2.902 | 33 |
| 31.06 | 2.879 | 42 |

Structure:
Cell lengths 6.207, 6.207, 9.016 Å; angles 110.62, 110.62, 81.78 degrees
Atoms (fractional coordinates):
Li  0.227  0.773  0.500
Li  0.773  0.227  0.000
Mn  0.460  0.759  0.239
Mn  0.759  0.460  0.739
P  0.320  0.453  0.842
P  0.453  0.320  0.342
P  0.776  0.898  0.637
P  0.898  0.776  0.137
O  0.067  0.413  0.730
O  0.153  0.770  0.258
O  0.238  0.440  0.387
O  0.334  0.666  0.999
O  0.413  0.067  0.230
O  0.440  0.238  0.887
O  0.440  0.499  0.730
O  0.499  0.440  0.230
O  0.547  0.860  0.484
O  0.666  0.334  0.499
O  0.750  0.767  0.748
O  0.767  0.750  0.248
O  0.770  0.153  0.758
O  0.853  0.998  0.101
O  0.860  0.547  0.984
O  0.998  0.853  0.601

Starting from a structure optimized by DFT (PBE+U), the X-ray powder pattern of Li3Mn3P4O16 was calculated for CuKα.

Top 6 peaks for 2θ from 5° to 70°, in order of rising 2θ:
| two_theta | d (Å) | intensity |
| --- | --- | --- |
| 9.51 | 9.295 | 100 |
| 13.79 | 6.422 | 41 |
| 16.12 | 5.500 | 51 |
| 16.25 | 5.455 | 40 |
| 19.21 | 4.621 | 26 |
| 31.21 | 2.866 | 52 |

Structure:
Cell lengths 9.908, 9.908, 10.494 Å; angles 91.43, 91.43, 40.41 degrees
Atoms (fractional coordinates):
Li  0.038  0.962  0.750
Li  0.331  0.524  0.442
Li  0.476  0.669  0.058
Li  0.524  0.331  0.942
Li  0.669  0.476  0.558
Li  0.962  0.038  0.250
Mn  0.000  0.500  0.000
Mn  0.138  0.176  0.745
Mn  0.176  0.138  0.245
Mn  0.500  0.000  0.500
Mn  0.824  0.862  0.755
Mn  0.862  0.824  0.255
P  0.088  0.752  0.003
P  0.248  0.912  0.497
P  0.280  0.328  0.753
P  0.328  0.280  0.253
P  0.672  0.720  0.747
P  0.720  0.672  0.247
P  0.752  0.088  0.503
P  0.912  0.248  0.997
O  0.024  0.133  0.867
O  0.070  0.099  0.108
O  0.099  0.070  0.608
O  0.133  0.024  0.367
O  0.143  0.549  0.718
O  0.151  0.551  0.001
O  0.181  0.304  0.859
O  0.201  0.498  0.298
O  0.218  0.270  0.145
O  0.270  0.218  0.645
O  0.286  0.681  0.988
O  0.304  0.181  0.359
O  0.319  0.714  0.512
O  0.449  0.849  0.499
O  0.451  0.857  0.782
O  0.498  0.201  0.798
O  0.502  0.799  0.202
O  0.549  0.143  0.218
O  0.551  0.151  0.501
O  0.681  0.286  0.488
O  0.696  0.819  0.641
O  0.714  0.319  0.012
O  0.730  0.782  0.355
O  0.782  0.730  0.855
O  0.799  0.502  0.702
O  0.819  0.696  0.141
O  0.849  0.449  0.999
O  0.857  0.451  0.282
O  0.867  0.976  0.633
O  0.901  0.930  0.392
O  0.930  0.901  0.892
O  0.976  0.867  0.133

Starting from a structure optimized by DFT (PBE+U), the X-ray powder pattern of LiMnP2O7 was calculated for CuKα.

Top 6 peaks for 2θ from 5° to 70°, in order of rising 2θ:
| two_theta | d (Å) | intensity |
| --- | --- | --- |
| 17.19 | 5.157 | 100 |
| 22.24 | 3.998 | 28 |
| 22.51 | 3.950 | 34 |
| 29.13 | 3.065 | 38 |
| 29.46 | 3.031 | 69 |
| 29.76 | 3.002 | 27 |

Structure:
Cell lengths 7.125, 8.189, 9.719 Å; angles 90.00, 111.88, 90.00 degrees
Atoms (fractional coordinates):
Li  0.000  0.128  0.000
Li  0.000  0.872  0.500
Li  0.376  0.328  0.360
Li  0.376  0.672  0.860
Mn  0.285  0.251  0.867
Mn  0.285  0.749  0.367
Mn  0.794  0.252  0.367
Mn  0.794  0.748  0.867
P  0.127  0.493  0.072
P  0.127  0.507  0.572
P  0.436  0.000  0.168
P  0.436  0.000  0.668
P  0.706  0.423  0.050
P  0.706  0.577  0.550
P  0.855  0.071  0.682
P  0.855  0.929  0.182
O  0.064  0.356  0.475
O  0.064  0.644  0.975
O  0.229  0.477  0.738
O  0.229  0.523  0.238
O  0.262  0.377  0.027
O  0.262  0.623  0.527
O  0.304  0.117  0.715
O  0.304  0.883  0.215
O  0.311  0.046  0.009
O  0.311  0.954  0.509
O  0.513  0.146  0.274
O  0.513  0.854  0.774
O  0.581  0.285  0.953
O  0.581  0.715  0.453
O  0.628  0.109  0.673
O  0.628  0.891  0.173
O  0.649  0.405  0.488
O  0.649  0.595  0.988
O  0.726  0.419  0.213
O  0.726  0.581  0.713
O  0.858  0.082  0.524
O  0.858  0.918  0.024
O  0.910  0.103  0.236
O  0.910  0.897  0.736
O  0.928  0.380  0.046
O  0.928  0.620  0.546
O  0.980  0.200  0.792
O  0.980  0.800  0.292

Starting from a structure optimized by DFT (PBE+U), the X-ray powder pattern of LiMnP2O7 was calculated for CuKα.

Top 6 peaks for 2θ from 5° to 70°, in order of rising 2θ:
| two_theta | d (Å) | intensity |
| --- | --- | --- |
| 16.94 | 5.234 | 100 |
| 22.35 | 3.978 | 54 |
| 25.11 | 3.547 | 18 |
| 27.11 | 3.290 | 18 |
| 29.11 | 3.067 | 61 |
| 29.37 | 3.041 | 27 |

Structure:
Cell lengths 4.809, 8.353, 7.117 Å; angles 90.00, 109.30, 90.00 degrees
Atoms (fractional coordinates):
Li  0.182  0.000  0.180
Li  0.818  0.500  0.820
Mn  0.211  0.362  0.226
Mn  0.789  0.862  0.774
P  0.211  0.072  0.594
P  0.400  0.681  0.012
P  0.600  0.181  0.988
P  0.789  0.572  0.406
O  0.066  0.533  0.353
O  0.137  0.155  0.394
O  0.191  0.827  0.978
O  0.243  0.521  0.988
O  0.389  0.187  0.110
O  0.398  0.921  0.602
O  0.400  0.203  0.756
O  0.600  0.703  0.244
O  0.602  0.421  0.398
O  0.611  0.687  0.890
O  0.757  0.021  0.012
O  0.809  0.327  0.022
O  0.863  0.655  0.606
O  0.934  0.033  0.647